The following is a theoretical powder X-ray diffraction pattern of CsNiIrO6. It was derived from the GGA+U geometry in Alexandria, using a wavelength of 1.5418 Å.
Lines closer than 0.1° are merged.

Main lines, sorted by position (10 to 80 degrees two-theta):
13.4 deg, I = 71, (0 0 1)
23.6 deg, I = 100, (1 1 -1)
24.0 deg, I = 94, (1 1 1)
24.2 deg, I = 93, (0 2 1)
27.0 deg, I = 47, (0 0 2)
34.8 deg, I = 50, (1 3 0)
44.3 deg, I = 39, (1 3 -2)
44.8 deg, I = 45, (1 3 2)

Lattice parameters (Å, degrees): 5.293 8.858 6.605 90.00 91.27 90.00
Space group C2 (No. 5)
Unique sites:
Cs  0.000  0.000  0.000 (multiplicity 2)
Ni  0.000  0.673  0.500 (multiplicity 2)
Ir  0.000  0.338  0.500 (multiplicity 2)
O  0.099  0.509  0.663 (multiplicity 4)
O  0.185  0.216  0.674 (multiplicity 4)
O  0.200  0.812  0.656 (multiplicity 4)